SrNbNO2: theoretical X-ray diffraction stick pattern (Cu Kα, 1.54184 Å), based on a DFT-relaxed cell (GGA-PBE, OQMD).

Atomic structure:
```
10
Lattice="4.020 -4.021 0.000 4.020 4.021 0.000 -4.002 0.000 4.098" Properties=species:S:1:pos:R:3 pbc="T T T"
Sr 1.987 0.000 0.001
Sr 2.051 0.000 4.097
Nb 0.061 -2.001 2.116
Nb 3.977 -2.001 1.982
N 4.020 -1.990 0.000
N 2.019 -2.258 2.049
O 2.019 2.519 2.049
O 4.020 2.258 0.000
O 0.390 0.100 2.143
O 3.648 0.100 1.955
```

Most intense lines, 2θ from 10° to 90°, in order of rising 2θ:
31.14°, intensity 100.0; 31.24°, intensity 34.7; 31.47°, intensity 71.3; 45.10°, intensity 40.4; 55.77°, intensity 28.6; 55.90°, intensity 28.9